Record 1
Diffraction record for Li10CuSi2O10. The powder diffraction line list is calculated, not measured: it uses a structure optimized by DFT (PBE) and copper Kα.
Intensities are scaled so that the largest is 100.

Largest 10 diffraction maxima, low angle first, 10 to 90 degrees two-theta:
- 17.2 deg, rel. 72.9
- 19.1 deg, rel. 51.7
- 20.6 deg, rel. 50.1
- 20.8 deg, rel. 29.6
- 22.1 deg, rel. 100.0
- 22.5 deg, rel. 97.3
- 22.8 deg, rel. 39.0
- 22.9 deg, rel. 36.4
- 28.9 deg, rel. 31.5
- 34.3 deg, rel. 98.2

Atomic structure:
abc: 5.224 6.173 15.426
angles: 100.92 98.68 90.96
Space group P1 (No. 1)
Asymmetric unit:
1 Li 0.000 0.000 0.000 (multiplicity 1)
2 Li 0.007 0.147 0.852 (multiplicity 1)
3 Li 0.030 0.455 0.379 (multiplicity 1)
4 Li 0.069 0.939 0.382 (multiplicity 1)
5 Li 0.106 0.765 0.529 (multiplicity 1)
6 Li 0.213 0.168 0.722 (multiplicity 1)
7 Li 0.228 0.591 0.719 (multiplicity 1)
8 Li 0.278 0.427 0.254 (multiplicity 1)
9 Li 0.293 0.851 0.252 (multiplicity 1)
10 Li 0.400 0.253 0.445 (multiplicity 1)
11 Li 0.438 0.079 0.592 (multiplicity 1)
12 Li 0.476 0.563 0.595 (multiplicity 1)
13 Li 0.498 0.871 0.121 (multiplicity 1)
14 Li 0.505 0.018 0.974 (multiplicity 1)
15 Li 0.566 0.293 0.154 (multiplicity 1)
16 Li 0.706 0.128 0.336 (multiplicity 1)
17 Li 0.742 0.377 0.715 (multiplicity 1)
18 Li 0.764 0.641 0.258 (multiplicity 1)
19 Li 0.800 0.890 0.638 (multiplicity 1)
20 Li 0.940 0.725 0.819 (multiplicity 1)
21 Cu 0.226 0.511 0.911 (multiplicity 1)
22 Cu 0.278 0.508 0.062 (multiplicity 1)
23 Si 0.534 0.917 0.783 (multiplicity 1)
24 Si 0.561 0.736 0.426 (multiplicity 1)
25 Si 0.945 0.282 0.547 (multiplicity 1)
26 Si 0.972 0.101 0.191 (multiplicity 1)
27 O 0.065 0.080 0.598 (multiplicity 1)
28 O 0.081 0.420 0.794 (multiplicity 1)
29 O 0.102 0.521 0.596 (multiplicity 1)
30 O 0.220 0.912 0.789 (multiplicity 1)
31 O 0.230 0.255 0.974 (multiplicity 1)
32 O 0.275 0.763 0.999 (multiplicity 1)
33 O 0.286 0.106 0.185 (multiplicity 1)
34 O 0.404 0.498 0.378 (multiplicity 1)
35 O 0.425 0.599 0.180 (multiplicity 1)
36 O 0.441 0.938 0.375 (multiplicity 1)
37 O 0.514 0.794 0.532 (multiplicity 1)
38 O 0.589 0.101 0.722 (multiplicity 1)
39 O 0.609 0.675 0.727 (multiplicity 1)
40 O 0.638 0.300 0.560 (multiplicity 1)
41 O 0.730 0.963 0.880 (multiplicity 1)
42 O 0.776 0.055 0.094 (multiplicity 1)
43 O 0.868 0.718 0.414 (multiplicity 1)
44 O 0.897 0.343 0.247 (multiplicity 1)
45 O 0.917 0.917 0.251 (multiplicity 1)
46 O 0.992 0.224 0.442 (multiplicity 1)

***

Record 2
Diffraction record for SnPd12Pt7. The powder diffraction line list is calculated, not measured: it uses a structure optimized by DFT (PBE) and copper Kα.
Intensities are scaled so that the largest is 100.

Largest 10 diffraction maxima, low angle first, 10 to 90 degrees two-theta:
- 21.4 deg, rel. 17.5
- 28.4 deg, rel. 18.3
- 37.6 deg, rel. 37.0
- 39.1 deg, rel. 27.1
- 39.9 deg, rel. 100.0
- 40.8 deg, rel. 46.5
- 41.9 deg, rel. 71.7
- 42.3 deg, rel. 25.6
- 71.0 deg, rel. 19.9
- 75.1 deg, rel. 16.8

Atomic structure:
abc: 9.5718 9.5718 12.4778
angles: 90.00 90.00 120.00
Space group R-3 (No. 148, hexagonal axes)
Asymmetric unit:
1 Sn 0.0000 0.0000 0.0000 (multiplicity 3)
2 Pd 0.0215 0.4522 0.7043 (multiplicity 18)
3 Pd 0.0522 0.5833 0.0906 (multiplicity 18)
4 Pt 0.0000 0.0000 0.5000 (multiplicity 3)
5 Pt 0.0505 0.1857 0.8081 (multiplicity 18)

***

Record 3
Diffraction record for La2Nd2Pd3. The powder diffraction line list is calculated, not measured: it uses a structure optimized by DFT (PBE) and copper Kα.
Intensities are scaled so that the largest is 100.

Largest 10 diffraction maxima, low angle first, 10 to 90 degrees two-theta:
- 25.7 deg, rel. 15.3
- 29.8 deg, rel. 100.0
- 30.1 deg, rel. 49.2
- 42.3 deg, rel. 19.3
- 42.6 deg, rel. 37.6
- 43.1 deg, rel. 35.9
- 43.2 deg, rel. 18.1
- 52.8 deg, rel. 20.1
- 62.0 deg, rel. 11.9
- 70.8 deg, rel. 15.8

Atomic structure:
abc: 4.269 7.247 7.330
angles: 79.96 89.97 72.93
Space group P-1 (No. 2)
Asymmetric unit:
1 La 0.124 0.250 0.378 (multiplicity 2)
2 Nd 0.367 0.764 0.130 (multiplicity 2)
3 Pd 0.252 0.997 0.753 (multiplicity 2)
4 Pd 0.500 0.500 0.500 (multiplicity 1)

***

Record 4
Diffraction record for Tm6NiAg2. The powder diffraction line list is calculated, not measured: it uses a structure optimized by DFT (PBE) and copper Kα.
Intensities are scaled so that the largest is 100.

Largest 10 diffraction maxima, low angle first, 10 to 90 degrees two-theta:
- 29.6 deg, rel. 57.7
- 29.7 deg, rel. 48.8
- 29.9 deg, rel. 49.2
- 30.7 deg, rel. 100.0
- 31.6 deg, rel. 92.3
- 33.1 deg, rel. 44.3
- 33.6 deg, rel. 42.5
- 34.0 deg, rel. 43.0
- 36.5 deg, rel. 41.9
- 39.9 deg, rel. 48.7

Atomic structure:
abc: 6.640 7.214 11.524
angles: 90.00 121.31 90.00
Space group P2_1/c (No. 14)
Asymmetric unit:
1 Tm 0.119 0.016 0.249 (multiplicity 4)
2 Tm 0.214 0.687 0.055 (multiplicity 4)
3 Tm 0.368 0.185 0.051 (multiplicity 4)
4 Ni 0.500 0.000 0.500 (multiplicity 2)
5 Ag 0.313 0.107 0.756 (multiplicity 4)

***

Record 5
Diffraction record for CuPb2Cl2O4. The powder diffraction line list is calculated, not measured: it uses a structure optimized by DFT (PBE) and copper Kα.
Intensities are scaled so that the largest is 100.

Largest 10 diffraction maxima, low angle first, 10 to 90 degrees two-theta:
- 15.3 deg, rel. 100.0
- 22.6 deg, rel. 28.7
- 27.3 deg, rel. 90.7
- 32.1 deg, rel. 42.2
- 35.7 deg, rel. 41.0
- 38.5 deg, rel. 64.7
- 46.0 deg, rel. 24.3
- 48.8 deg, rel. 21.4
- 54.4 deg, rel. 28.2
- 61.5 deg, rel. 32.2

Atomic structure:
abc: 5.575 5.575 5.807
angles: 90.00 90.00 90.00
Space group P4mm (No. 99)
Asymmetric unit:
1 Cu 0.000 0.000 0.000 (multiplicity 1)
2 Pb 0.000 0.500 0.773 (multiplicity 2)
3 Cl 0.000 0.000 0.468 (multiplicity 1)
4 Cl 0.500 0.500 0.525 (multiplicity 1)
5 O 0.231 0.231 0.962 (multiplicity 4)

***

Record 6
Diffraction record for K3Tl2Bi4Pb2. The powder diffraction line list is calculated, not measured: it uses a structure optimized by DFT (PBE) and copper Kα.
Intensities are scaled so that the largest is 100.

Largest 10 diffraction maxima, low angle first, 10 to 90 degrees two-theta:
- 18.8 deg, rel. 58.8
- 20.8 deg, rel. 40.6
- 24.5 deg, rel. 19.4
- 28.2 deg, rel. 55.6
- 33.0 deg, rel. 100.0
- 36.8 deg, rel. 26.4
- 39.3 deg, rel. 50.3
- 43.9 deg, rel. 16.9
- 50.2 deg, rel. 34.1
- 58.8 deg, rel. 19.4

Atomic structure:
abc: 5.4363 5.4363 17.1219
angles: 90.00 90.00 120.00
Space group P-3m1 (No. 164)
Asymmetric unit:
1 K 0.0000 0.0000 0.0000 (multiplicity 1)
2 K 0.0000 0.0000 0.2724 (multiplicity 2)
3 Tl 0.3333 0.6667 0.1407 (multiplicity 2)
4 Bi 0.3333 0.6667 0.3852 (multiplicity 2)
5 Bi 0.3333 0.6667 0.8628 (multiplicity 2)
6 Pb 0.3333 0.6667 0.5681 (multiplicity 2)

***

Record 7
Diffraction record for Ce6In2FeIr. The powder diffraction line list is calculated, not measured: it uses a structure optimized by DFT (PBE) and copper Kα.
Intensities are scaled so that the largest is 100.

Largest 10 diffraction maxima, low angle first, 10 to 90 degrees two-theta:
- 17.2 deg, rel. 30.7
- 29.4 deg, rel. 70.1
- 29.6 deg, rel. 28.5
- 29.7 deg, rel. 28.7
- 33.1 deg, rel. 63.9
- 34.7 deg, rel. 100.0
- 48.7 deg, rel. 37.7
- 48.8 deg, rel. 38.3
- 49.6 deg, rel. 18.6
- 60.9 deg, rel. 19.8

Atomic structure:
abc: 7.262 7.356 7.466
angles: 119.42 118.88 90.08
Space group P1 (No. 1)
Asymmetric unit:
1 Ce 0.000 0.000 0.000 (multiplicity 1)
2 Ce 0.020 0.016 0.509 (multiplicity 1)
3 Ce 0.061 0.519 0.513 (multiplicity 1)
4 Ce 0.454 0.518 0.509 (multiplicity 1)
5 Ce 0.493 0.014 0.502 (multiplicity 1)
6 Ce 0.514 0.501 0.016 (multiplicity 1)
7 In 0.010 0.506 0.012 (multiplicity 1)
8 In 0.505 0.003 0.005 (multiplicity 1)
9 Fe 0.257 0.207 0.508 (multiplicity 1)
10 Ir 0.757 0.753 0.508 (multiplicity 1)